Diffraction record for RbBaVF6. The PXRD pattern is calculated, not measured: it uses the GGA+U geometry in Alexandria and Cu Kα (λ = 1.5418 Å).

Most intense lines, 2θ from 15° to 90°, in order of rising 2θ:
- d = 5.117 Å, rel. 12
- d = 3.453 Å, rel. 100
- d = 2.954 Å, rel. 59
- d = 2.339 Å, rel. 14
- d = 2.245 Å, rel. 88
- d = 2.127 Å, rel. 22
- d = 1.787 Å, rel. 30
- d = 1.726 Å, rel. 19
- d = 1.491 Å, rel. 15
- d = 1.476 Å, rel. 12

Atomic structure:
```
RbBaVF6
1.0
5.111 -2.957 0.000
5.111 2.957 0.000
-0.003 0.000 4.678
Rb Ba V F
1 1 1 6
Cartesian
0.000 0.000 0.000 Rb
6.815 0.000 2.043 Ba
3.406 0.000 3.438 V
4.218 1.412 2.317 F
1.783 0.000 2.313 F
5.120 0.000 4.446 F
7.655 1.467 4.441 F
4.218 -1.412 2.317 F
7.655 -1.467 4.441 F
```